# 1
This entry pairs a crystal structure of TbCoSi3 with its computed X-ray diffraction stick pattern. Radiation: CuKα. Structure: the PBE geometry in the Materials Project.
Lines closer than 0.1° are merged.

Structural model:
a = 5.5645 Å, b = 5.5645 Å, c = 5.5645 Å
α = 137.30°, β = 137.30°, γ = 61.98°
Fractional coordinates of all 5 atoms:
1 Tb 0.0000 0.0000 0.0000
2 Co 0.6579 0.6579 0.0000
3 Si 0.2583 0.7583 0.5000
4 Si 0.4262 0.4262 0.0000
5 Si 0.7583 0.2583 0.5000

The 10 most intense peaks (2θ from 10° to 90°), in order of rising 2θ:
2θ (°)  I (rel.)
18.6  24
23.9  67
31.2  58
35.9  100
36.6  91
44.7  54
53.0  23
58.6  47
67.4  20
77.1  21

***

# 2
This entry pairs a crystal structure of Tb4Co10Si with its computed X-ray diffraction stick pattern. Radiation: CuKα. Structure: the PBE geometry in the Materials Project.
Lines closer than 0.1° are merged.

Structural model:
a = 9.3877 Å, b = 9.3877 Å, c = 9.3877 Å
α = 96.34°, β = 96.34°, γ = 141.19°
Fractional coordinates of all 30 atoms:
1 Tb 0.2622 0.6710 0.5912
2 Tb 0.3290 0.4202 0.5912
3 Tb 0.3290 0.7378 0.9088
4 Tb 0.4202 0.3290 0.0912
5 Tb 0.5798 0.6710 0.9088
6 Tb 0.6710 0.2622 0.0912
7 Tb 0.6710 0.5798 0.4088
8 Tb 0.7378 0.3290 0.4088
9 Co 0.0000 0.0000 0.0000
10 Co 0.0000 0.0000 0.5000
11 Co 0.0000 0.5000 0.0000
12 Co 0.1326 0.5230 0.2852
13 Co 0.1326 0.8474 0.6095
14 Co 0.1526 0.2622 0.2852
15 Co 0.1526 0.8674 0.8905
16 Co 0.2622 0.1526 0.7852
17 Co 0.2622 0.4770 0.1095
18 Co 0.4770 0.2622 0.6095
19 Co 0.4770 0.8674 0.2148
20 Co 0.5000 0.0000 0.5000
21 Co 0.5230 0.1326 0.7852
22 Co 0.5230 0.7378 0.3905
23 Co 0.7378 0.5230 0.8905
24 Co 0.7378 0.8474 0.2148
25 Co 0.8474 0.1326 0.1095
26 Co 0.8474 0.7378 0.7148
27 Co 0.8674 0.1526 0.3905
28 Co 0.8674 0.4770 0.7148
29 Si 0.1250 0.8750 0.2500
30 Si 0.8750 0.1250 0.7500

The 10 most intense peaks (2θ from 10° to 90°), in order of rising 2θ:
2θ (°)  I (rel.)
15.9  47
21.3  20
29.4  54
30.4  17
38.7  100
42.2  70
43.4  65
44.2  24
46.6  18
71.0  17

***

# 3
This entry pairs a crystal structure of TbCoSi2 with its computed X-ray diffraction stick pattern. Radiation: CuKα. Structure: the PBE geometry in the Materials Project.
Lines closer than 0.1° are merged.

Structural model:
a = 8.3471 Å, b = 8.3471 Å, c = 3.9930 Å
α = 90.00°, β = 90.00°, γ = 151.95°
Fractional coordinates of all 8 atoms:
1 Tb 0.1072 0.8928 0.7500
2 Tb 0.8928 0.1072 0.2500
3 Co 0.3202 0.6798 0.7500
4 Co 0.6798 0.3202 0.2500
5 Si 0.2498 0.7502 0.2500
6 Si 0.4573 0.5427 0.7500
7 Si 0.5427 0.4573 0.2500
8 Si 0.7502 0.2498 0.7500

The 10 most intense peaks (2θ from 10° to 90°), in order of rising 2θ:
2θ (°)  I (rel.)
22.0  33
24.9  33
32.0  78
35.5  73
35.7  100
40.3  38
44.8  34
45.4  31
58.9  33
61.8  25

***

# 4
This entry pairs a crystal structure of ThCoSi2 with its computed X-ray diffraction stick pattern. Radiation: CuKα. Structure: the PBE geometry in the Materials Project.
Lines closer than 0.1° are merged.

Structural model:
a = 8.4624 Å, b = 8.4624 Å, c = 4.0912 Å
α = 90.00°, β = 90.00°, γ = 151.78°
Fractional coordinates of all 8 atoms:
1 Th 0.1078 0.8922 0.7500
2 Th 0.8922 0.1078 0.2500
3 Co 0.3200 0.6800 0.7500
4 Co 0.6800 0.3200 0.2500
5 Si 0.2498 0.7502 0.2500
6 Si 0.4587 0.5413 0.7500
7 Si 0.5413 0.4587 0.2500
8 Si 0.7502 0.2498 0.7500

The 10 most intense peaks (2θ from 10° to 90°), in order of rising 2θ:
2θ (°)  I (rel.)
21.7  25
22.2  23
24.3  32
31.3  45
35.0  100
39.6  22
43.9  17
44.3  16
49.7  16
57.6  20

***

# 5
This entry pairs a crystal structure of Th4Co10Si with its computed X-ray diffraction stick pattern. Radiation: CuKα. Structure: the PBE geometry in the Materials Project.
Lines closer than 0.1° are merged.

Structural model:
a = 9.0582 Å, b = 9.0582 Å, c = 9.0582 Å
α = 121.78°, β = 121.78°, γ = 86.94°
Fractional coordinates of all 30 atoms:
1 Th 0.1307 0.1762 0.5454
2 Th 0.1307 0.5853 0.9546
3 Th 0.1762 0.1307 0.0454
4 Th 0.4147 0.8693 0.5454
5 Th 0.5853 0.1307 0.4546
6 Th 0.8238 0.8693 0.9546
7 Th 0.8693 0.4147 0.0454
8 Th 0.8693 0.8238 0.4546
9 Co 0.0000 0.5000 0.5000
10 Co 0.1677 0.3151 0.3760
11 Co 0.1677 0.7917 0.8527
12 Co 0.2083 0.5610 0.3760
13 Co 0.2083 0.8323 0.6473
14 Co 0.3151 0.1677 0.8760
15 Co 0.3151 0.4390 0.1473
16 Co 0.4390 0.3151 0.6473
17 Co 0.4390 0.7917 0.1240
18 Co 0.5000 0.0000 0.0000
19 Co 0.5000 0.5000 0.0000
20 Co 0.5000 0.5000 0.5000
21 Co 0.5610 0.2083 0.8760
22 Co 0.5610 0.6849 0.3527
23 Co 0.6849 0.5610 0.8527
24 Co 0.6849 0.8323 0.1240
25 Co 0.7917 0.1677 0.3527
26 Co 0.7917 0.4390 0.6240
27 Co 0.8323 0.2083 0.1473
28 Co 0.8323 0.6849 0.6240
29 Si 0.3750 0.6250 0.7500
30 Si 0.6250 0.3750 0.2500

The 10 most intense peaks (2θ from 10° to 90°), in order of rising 2θ:
2θ (°)  I (rel.)
23.6  65
27.1  42
28.7  100
30.5  56
31.2  91
36.8  95
39.9  51
41.3  78
45.8  54
60.4  46

***

# 6
This entry pairs a crystal structure of ThCo9Si2 with its computed X-ray diffraction stick pattern. Radiation: CuKα. Structure: the PBE geometry in the Materials Project.
Lines closer than 0.1° are merged.

Structural model:
a = 7.5645 Å, b = 7.5645 Å, c = 7.5645 Å
α = 99.95°, β = 99.95°, γ = 130.87°
Fractional coordinates of all 24 atoms:
1 Th 0.3750 0.6250 0.7500
2 Th 0.6250 0.3750 0.2500
3 Co 0.1250 0.8750 0.2500
4 Co 0.1424 0.5617 0.3317
5 Co 0.1424 0.8107 0.5807
6 Co 0.1893 0.2700 0.3317
7 Co 0.1893 0.8576 0.9193
8 Co 0.2700 0.1893 0.8317
9 Co 0.2700 0.4383 0.0807
10 Co 0.4383 0.2700 0.5807
11 Co 0.4383 0.8576 0.1683
12 Co 0.5617 0.1424 0.8317
13 Co 0.5617 0.7300 0.4193
14 Co 0.7300 0.5617 0.9193
15 Co 0.7300 0.8107 0.1683
16 Co 0.8107 0.1424 0.0807
17 Co 0.8107 0.7300 0.6683
18 Co 0.8576 0.1893 0.4193
19 Co 0.8576 0.4383 0.6683
20 Co 0.8750 0.1250 0.7500
21 Si 0.0000 0.0000 0.0000
22 Si 0.0000 0.0000 0.5000
23 Si 0.0000 0.5000 0.0000
24 Si 0.5000 0.0000 0.5000

The 10 most intense peaks (2θ from 10° to 90°), in order of rising 2θ:
2θ (°)  I (rel.)
16.8  20
25.9  25
31.0  22
31.3  29
36.2  34
40.8  19
41.0  100
41.5  70
44.2  26
75.4  26

***

# 7
This entry pairs a crystal structure of ThCoSi3 with its computed X-ray diffraction stick pattern. Radiation: CuKα. Structure: the PBE geometry in the Materials Project.
Lines closer than 0.1° are merged.

Structural model:
a = 5.5851 Å, b = 5.5851 Å, c = 5.5851 Å
α = 136.10°, β = 136.10°, γ = 63.83°
Fractional coordinates of all 5 atoms:
1 Th 0.0000 0.0000 0.0000
2 Co 0.6615 0.6615 0.0000
3 Si 0.2595 0.7595 0.5000
4 Si 0.4222 0.4222 0.0000
5 Si 0.7595 0.2595 0.5000

The 10 most intense peaks (2θ from 10° to 90°), in order of rising 2θ:
2θ (°)  I (rel.)
18.7  34
23.3  100
30.3  62
35.6  98
35.8  89
43.3  49
49.8  29
53.0  22
57.3  50
74.6  22

***

# 8
This entry pairs a crystal structure of Ti2CoSi with its computed X-ray diffraction stick pattern. Radiation: CuKα. Structure: the PBE geometry in the Materials Project.
Lines closer than 0.1° are merged.

Structural model:
a = 4.2633 Å, b = 4.2633 Å, c = 4.2633 Å
α = 60.00°, β = 60.00°, γ = 60.00°
Fractional coordinates of all 4 atoms:
1 Ti 0.0000 0.0000 0.0000
2 Ti 0.2500 0.2500 0.2500
3 Co 0.7500 0.7500 0.7500
4 Si 0.5000 0.5000 0.5000

The 9 most intense peaks (2θ from 10° to 90°), in order of rising 2θ:
2θ (°)  I (rel.)
25.6  4
29.6  4
42.4  100
50.2  2
52.6  1
61.5  15
67.7  1
69.8  1
77.6  29

***

Question: What is the formula in the seventh record?
Answer: ThCoSi3